Record 1
The following is a computed powder diffraction line list of PrNd2Dy. It was derived from a crystal structure in Alexandria, relaxed with GGA-PBE, using Cu Kα (weighted mean of Kα1 and Kα2).
Intensities are scaled so that the largest is 100.

Cell and atoms:
```
data_PrNd2Dy
_space_group_name_H-M_alt 'P 1'
_space_group_IT_number 1
_space_group_name_Hall 'P 1'
_cell_length_a 3.663
_cell_length_b 3.663
_cell_length_c 35.718
_cell_angle_alpha 90.00
_cell_angle_beta 90.00
_cell_angle_gamma 120.00
loop_
_atom_site_label
_atom_site_type_symbol
_atom_site_fract_x
_atom_site_fract_y
_atom_site_fract_z
Pr1 Pr 0.000 0.000 0.000
Pr2 Pr 0.333 0.667 0.667
Pr3 Pr 0.667 0.333 0.333
Nd1 Nd 0.000 0.000 0.582
Nd2 Nd 0.000 0.000 0.752
Nd3 Nd 0.333 0.667 0.248
Nd4 Nd 0.333 0.667 0.419
Nd5 Nd 0.667 0.333 0.085
Nd6 Nd 0.667 0.333 0.915
Dy1 Dy 0.000 0.000 0.167
Dy2 Dy 0.333 0.667 0.834
Dy3 Dy 0.667 0.333 0.500
```

Most intense lines, 2θ from 5° to 70°, most intense first:
| 2theta | d [Å] | I (rel.) |
| --- | --- | --- |
| 30.84 | 2.899 | 100.0 |
| 33.26 | 2.694 | 74.6 |
| 30.02 | 2.977 | 48.3 |
| 59.23 | 1.560 | 43.5 |
| 49.79 | 1.832 | 36.0 |
| 28.58 | 3.123 | 31.7 |
| 52.22 | 1.752 | 24.6 |
| 37.93 | 2.372 | 19.2 |



Record 2
The following is a computed powder diffraction line list of PrNd2Dy4. It was derived from a crystal structure in Alexandria, relaxed with GGA-PBE, using Cu Kα (weighted mean of Kα1 and Kα2).
Intensities are scaled so that the largest is 100.

Cell and atoms:
```
data_PrNd2Dy4
_space_group_name_H-M_alt 'P 1'
_space_group_IT_number 1
_space_group_name_Hall 'P 1'
_cell_length_a 6.233
_cell_length_b 6.246
_cell_length_c 6.259
_cell_angle_alpha 99.80
_cell_angle_beta 99.68
_cell_angle_gamma 99.45
loop_
_atom_site_label
_atom_site_type_symbol
_atom_site_fract_x
_atom_site_fract_y
_atom_site_fract_z
Pr1 Pr 0.000 0.000 0.000
Nd1 Nd 0.144 0.287 0.572
Nd2 Nd 0.856 0.713 0.428
Dy1 Dy 0.288 0.573 0.142
Dy2 Dy 0.430 0.858 0.714
Dy3 Dy 0.570 0.142 0.286
Dy4 Dy 0.712 0.427 0.858
```

Most intense lines, 2θ from 5° to 70°, most intense first:
| 2theta | d [Å] | I (rel.) |
| --- | --- | --- |
| 30.31 | 2.949 | 100.0 |
| 30.42 | 2.939 | 99.0 |
| 35.18 | 2.551 | 67.4 |
| 60.25 | 1.536 | 49.9 |
| 50.66 | 1.802 | 48.0 |
| 35.25 | 2.546 | 33.5 |
| 60.07 | 1.540 | 28.7 |
| 63.05 | 1.474 | 12.4 |



Record 3
The following is a computed powder diffraction line list of Pr5Nd4Dy. It was derived from a crystal structure in Alexandria, relaxed with GGA-PBE, using Cu Kα (weighted mean of Kα1 and Kα2).
Intensities are scaled so that the largest is 100.

Cell and atoms:
```
data_Pr5Nd4Dy
_space_group_name_H-M_alt 'P 1'
_space_group_IT_number 1
_space_group_name_Hall 'P 1'
_cell_length_a 9.352
_cell_length_b 9.352
_cell_length_c 11.345
_cell_angle_alpha 107.11
_cell_angle_beta 107.11
_cell_angle_gamma 22.09
loop_
_atom_site_label
_atom_site_type_symbol
_atom_site_fract_x
_atom_site_fract_y
_atom_site_fract_z
Pr1 Pr 0.000 0.000 0.000
Pr2 Pr 0.292 0.292 0.900
Pr3 Pr 0.395 0.395 0.213
Pr4 Pr 0.605 0.605 0.787
Pr5 Pr 0.708 0.708 0.100
Nd1 Nd 0.196 0.196 0.582
Nd2 Nd 0.408 0.408 0.695
Nd3 Nd 0.592 0.592 0.305
Nd4 Nd 0.804 0.804 0.418
Dy1 Dy 0.000 0.000 0.500
```

Most intense lines, 2θ from 5° to 70°, most intense first:
| 2theta | d [Å] | I (rel.) |
| --- | --- | --- |
| 29.85 | 2.993 | 100.0 |
| 30.12 | 2.967 | 94.1 |
| 31.54 | 2.836 | 83.0 |
| 29.48 | 3.030 | 76.9 |
| 35.85 | 2.505 | 46.1 |
| 29.11 | 3.068 | 31.9 |
| 34.56 | 2.595 | 28.1 |
| 34.99 | 2.564 | 27.8 |